# 1
Cs2SmRe3O12: simulated X-ray powder pattern (Cu Ka), based on a structure optimized by DFT (PBE).
Lines closer than 0.1° are merged.

Peak list (10 most intense, 2θ from 10° to 90°, in order of falling intensity)
2θ = 27.73°, rel. 100
2θ = 29.26°, rel. 80
2θ = 28.12°, rel. 65
2θ = 26.93°, rel. 57
2θ = 49.05°, rel. 41
2θ = 47.08°, rel. 34
2θ = 13.76°, rel. 33
2θ = 14.51°, rel. 28
2θ = 44.53°, rel. 25
2θ = 44.01°, rel. 23

```
Cs2SmRe3O12
1.0
3.715 2.145 6.434
-3.715 2.145 6.434
0.000 -4.289 6.434
Cs Sm Re O
2 1 3 12
direct
0.114 0.114 0.114 Cs
0.886 0.886 0.886 Cs
0.500 0.500 0.500 Sm
0.000 0.500 0.500 Re
0.500 0.000 0.500 Re
0.500 0.500 0.000 Re
0.139 0.573 0.573 O
0.199 0.199 0.571 O
0.199 0.571 0.199 O
0.427 0.427 0.861 O
0.427 0.861 0.427 O
0.429 0.801 0.801 O
0.571 0.199 0.199 O
0.573 0.139 0.573 O
0.573 0.573 0.139 O
0.801 0.429 0.801 O
0.801 0.801 0.429 O
0.861 0.427 0.427 O
```

# 2
Cr3SnCl: simulated X-ray powder pattern (Cu Ka), based on a structure optimized by DFT (PBE).
Lines closer than 0.1° are merged.

Peak list (10 most intense, 2θ from 10° to 90°, in order of falling intensity)
2θ = 36.97°, rel. 100
2θ = 42.95°, rel. 79
2θ = 62.37°, rel. 49
2θ = 30.01°, rel. 45
2θ = 74.77°, rel. 36
2θ = 53.28°, rel. 19
2θ = 78.71°, rel. 16
2θ = 86.47°, rel. 11
2θ = 70.75°, rel. 9
2θ = 21.10°, rel. 3

```
Cr3SnCl
1.0
4.211 0.000 0.000
0.000 4.211 0.000
0.000 0.000 4.211
Cr Sn Cl
3 1 1
direct
0.000 0.000 0.500 Cr
0.000 0.500 0.000 Cr
0.500 0.000 0.000 Cr
0.500 0.500 0.500 Sn
0.000 0.000 0.000 Cl
```

# 3
LaTb2Dy4: simulated X-ray powder pattern (Cu Ka), based on a structure optimized by DFT (PBE).
Lines closer than 0.1° are merged.

Peak list (10 most intense, 2θ from 10° to 90°, in order of falling intensity)
2θ = 31.28°, rel. 100
2θ = 31.13°, rel. 49
2θ = 32.40°, rel. 45
2θ = 32.92°, rel. 45
2θ = 29.90°, rel. 38
2θ = 47.78°, rel. 19
2θ = 57.74°, rel. 15
2θ = 61.49°, rel. 15
2θ = 61.62°, rel. 14
2θ = 62.22°, rel. 14

```
LaTb2Dy4
1.0
7.090 0.000 0.000
-1.769 8.451 0.000
-1.755 -4.120 7.647
La Tb Dy
2 4 8
direct
0.000 0.000 0.000 La
0.301 0.666 0.546 La
0.208 0.124 0.705 Tb
0.525 0.824 0.271 Tb
0.801 0.667 0.538 Tb
0.881 0.402 0.132 Tb
0.025 0.826 0.277 Dy
0.106 0.554 0.871 Dy
0.387 0.403 0.135 Dy
0.414 0.229 0.413 Dy
0.500 0.000 0.999 Dy
0.607 0.554 0.869 Dy
0.704 0.117 0.702 Dy
0.909 0.232 0.415 Dy
```

# 4
Ta3Hg: simulated X-ray powder pattern (Cu Ka), based on a structure optimized by DFT (PBE).
Lines closer than 0.1° are merged.

Peak list (10 most intense, 2θ from 10° to 90°, in order of falling intensity)
2θ = 39.42°, rel. 100
2θ = 35.42°, rel. 30
2θ = 35.04°, rel. 23
2θ = 66.27°, rel. 22
2θ = 74.27°, rel. 21
2θ = 62.86°, rel. 17
2θ = 50.68°, rel. 16
2θ = 76.78°, rel. 15
2θ = 84.85°, rel. 4
2θ = 85.50°, rel. 4

```
Ta3Hg
1.0
2.957 0.000 0.000
-1.478 2.561 0.000
0.000 0.000 10.138
Ta Hg
3 1
direct
0.000 0.000 0.000 Ta
0.333 0.667 0.249 Ta
0.333 0.667 0.751 Ta
0.000 0.000 0.500 Hg
```

# 5
Pr2ErTm2: simulated X-ray powder pattern (Cu Ka), based on a structure optimized by DFT (PBE).
Lines closer than 0.1° are merged.

Peak list (10 most intense, 2θ from 10° to 90°, in order of falling intensity)
2θ = 31.16°, rel. 100
2θ = 31.43°, rel. 74
2θ = 29.86°, rel. 40
2θ = 33.69°, rel. 35
2θ = 28.18°, rel. 24
2θ = 55.78°, rel. 19
2θ = 60.08°, rel. 17
2θ = 45.04°, rel. 16
2θ = 34.93°, rel. 16
2θ = 42.71°, rel. 16

```
Pr2ErTm2
1.0
-1.831 2.847 15.828
1.831 -2.847 15.828
1.831 2.847 -15.828
Pr Er Tm
4 2 4
direct
0.273 0.023 0.250 Pr
0.374 0.124 0.250 Pr
0.626 0.876 0.750 Pr
0.727 0.977 0.750 Pr
0.168 0.418 0.750 Er
0.832 0.582 0.250 Er
0.052 0.802 0.250 Tm
0.460 0.710 0.750 Tm
0.540 0.290 0.250 Tm
0.948 0.198 0.750 Tm
```

# 6
AcLa12Y5: simulated X-ray powder pattern (Cu Ka), based on a structure optimized by DFT (PBE).
Lines closer than 0.1° are merged.

Peak list (10 most intense, 2θ from 10° to 90°, in order of falling intensity)
2θ = 30.28°, rel. 100
2θ = 30.33°, rel. 53
2θ = 53.74°, rel. 32
2θ = 30.58°, rel. 24
2θ = 43.53°, rel. 18
2θ = 43.31°, rel. 16
2θ = 30.47°, rel. 16
2θ = 60.08°, rel. 11
2θ = 54.19°, rel. 11
2θ = 50.82°, rel. 8

```
AcLa12Y5
1.0
6.268 -8.771 0.000
6.268 8.771 0.000
-0.003 0.000 5.913
Ac La Y
1 12 5
direct
0.000 0.000 0.000 Ac
0.031 0.670 0.003 La
0.170 0.528 0.498 La
0.208 0.208 0.527 La
0.304 0.304 0.024 La
0.330 0.969 0.997 La
0.472 0.830 0.502 La
0.528 0.170 0.498 La
0.670 0.031 0.003 La
0.696 0.696 0.976 La
0.792 0.792 0.473 La
0.830 0.472 0.502 La
0.969 0.330 0.997 La
0.139 0.861 0.500 Y
0.364 0.636 0.000 Y
0.500 0.500 0.500 Y
0.636 0.364 0.000 Y
0.861 0.139 0.500 Y
```